# PrMnSi2
Theoretical powder diffractogram, Cu Kα X-rays. Input: a crystal structure in the Materials Project, relaxed with PBE.
Peak positions follow from Bragg's law for the DFT cell and can differ from measured ones.

Cell and atoms:
abc: 4.3321 16.3438 4.2134
angles: 90.00 90.00 90.00
Space group Cmcm (No. 63)
Unique sites:
Pr: 0.0000 0.1062 0.2500 x4
Mn: 0.0000 0.3134 0.2500 x4
Si: 0.0000 0.2492 0.7500 x4
Si: 0.0000 0.4575 0.2500 x4

The 10 most intense peaks (10° ≤ 2θ ≤ 80°), by angle:
| d/Å | I_rel |
| --- | --- |
| 3.745 | 331 |
| 2.970 | 779 |
| 2.933 | 249 |
| 2.642 | 1000 |
| 2.609 | 751 |
| 2.288 | 408 |
| 2.166 | 366 |
| 2.107 | 336 |
| 1.639 | 356 |
| 1.573 | 246 |